This entry pairs a crystal structure of Hf4Co2Pd with its simulated powder diffractogram. Radiation: Cu Ka. Structure: a DFT-relaxed cell (PBE, Alexandria).
Intensities are scaled so that the largest is 100.

Most intense lines, 5 to 70 degrees two-theta, sorted by position:
| 2theta | intensity |
| --- | --- |
| 28.29 | 11 |
| 29.98 | 100 |
| 34.12 | 18 |
| 41.71 | 64 |
| 44.10 | 71 |
| 54.25 | 20 |
| 60.76 | 9 |
| 62.31 | 19 |
| 63.57 | 10 |
| 68.94 | 9 |

Cell and atoms:
Cell lengths 9.4039, 9.4039, 9.4039 Å; angles 25.23, 25.23, 25.23 degrees
Positions (direct):
Hf (0.1131, 0.1131, 0.1131)
Hf (0.2977, 0.2977, 0.2977)
Hf (0.7023, 0.7023, 0.7023)
Hf (0.8869, 0.8869, 0.8869)
Co (0.4016, 0.4016, 0.4016)
Co (0.5984, 0.5984, 0.5984)
Pd (0.5000, 0.5000, 0.5000)

This entry pairs a crystal structure of Hf5CoPd with its simulated powder diffractogram. Radiation: Cu Ka. Structure: a DFT-relaxed cell (PBE, Alexandria).
Intensities are scaled so that the largest is 100.

Most intense lines, 5 to 70 degrees two-theta, sorted by position:
| 2theta | intensity |
| --- | --- |
| 30.61 | 72 |
| 33.03 | 17 |
| 33.34 | 30 |
| 34.14 | 81 |
| 35.47 | 36 |
| 36.96 | 34 |
| 37.45 | 100 |
| 37.75 | 63 |
| 40.12 | 18 |
| 48.94 | 17 |

Cell and atoms:
Cell lengths 5.8236, 5.8236, 9.8231 Å; angles 108.36, 108.36, 67.69 degrees
Positions (direct):
Hf (0.0021, 0.5534, 0.8485)
Hf (0.0052, 0.9948, 0.7500)
Hf (0.2292, 0.5349, 0.4905)
Hf (0.4466, 0.9979, 0.6515)
Hf (0.4651, 0.7708, 0.0095)
Hf (0.5349, 0.2292, 0.9905)
Hf (0.5534, 0.0021, 0.3485)
Hf (0.7708, 0.4651, 0.5095)
Hf (0.9948, 0.0052, 0.2500)
Hf (0.9979, 0.4466, 0.1515)
Co (0.0000, 0.0000, 0.0000)
Co (0.0000, 0.0000, 0.5000)
Pd (0.4622, 0.5378, 0.2500)
Pd (0.5378, 0.4622, 0.7500)

This entry pairs a crystal structure of HfCo4Pd with its simulated powder diffractogram. Radiation: Cu Ka. Structure: a DFT-relaxed cell (PBE, Alexandria).
Intensities are scaled so that the largest is 100.

Most intense lines, 5 to 70 degrees two-theta, sorted by position:
| 2theta | intensity |
| --- | --- |
| 22.64 | 14 |
| 26.20 | 4 |
| 37.40 | 60 |
| 44.16 | 100 |
| 46.24 | 18 |
| 59.21 | 4 |
| 60.91 | 2 |
| 67.46 | 21 |

Cell and atoms:
Cell lengths 4.8095, 4.8095, 4.8095 Å; angles 60.00, 60.00, 60.00 degrees
Positions (direct):
Hf (0.0000, 0.0000, 0.0000)
Co (0.1273, 0.6242, 0.6242)
Co (0.6242, 0.1273, 0.6242)
Co (0.6242, 0.6242, 0.1273)
Co (0.6242, 0.6242, 0.6242)
Pd (0.2500, 0.2500, 0.2500)

This entry pairs a crystal structure of HfZnCoPd with its simulated powder diffractogram. Radiation: Cu Ka. Structure: a DFT-relaxed cell (PBE, Alexandria).
Intensities are scaled so that the largest is 100.

Most intense lines, 5 to 70 degrees two-theta, sorted by position:
| 2theta | intensity |
| --- | --- |
| 25.05 | 25 |
| 25.25 | 3 |
| 30.72 | 3 |
| 40.17 | 100 |
| 44.01 | 38 |
| 44.37 | 6 |
| 51.30 | 8 |
| 51.84 | 12 |
| 63.99 | 12 |
| 64.27 | 4 |

Cell and atoms:
Cell lengths 4.5729, 4.5729, 4.5729 Å; angles 126.52, 126.52, 79.04 degrees
Positions (direct):
Hf (0.0000, 0.0000, 0.0000)
Zn (0.5000, 0.5000, 0.0000)
Co (0.7500, 0.2500, 0.5000)
Pd (0.2500, 0.7500, 0.5000)

This entry pairs a crystal structure of Hf6CoPt2 with its simulated powder diffractogram. Radiation: Cu Ka. Structure: a DFT-relaxed cell (PBE, Alexandria).
Intensities are scaled so that the largest is 100.

Most intense lines, 5 to 70 degrees two-theta, sorted by position:
| 2theta | intensity |
| --- | --- |
| 34.82 | 25 |
| 35.16 | 100 |
| 35.51 | 21 |
| 35.84 | 22 |
| 36.64 | 44 |
| 37.38 | 26 |
| 38.24 | 55 |
| 39.39 | 26 |
| 44.79 | 22 |
| 54.37 | 24 |

Cell and atoms:
Cell lengths 3.3746, 7.8149, 7.8149 Å; angles 122.82, 90.00, 90.00 degrees
Positions (direct):
Hf (0.0000, 0.0000, 0.0000)
Hf (0.0000, 0.5281, 0.7876)
Hf (0.0000, 0.7876, 0.5281)
Hf (0.5000, 0.1918, 0.8069)
Hf (0.5000, 0.3550, 0.3550)
Hf (0.5000, 0.8069, 0.1918)
Co (0.5000, 0.7344, 0.7344)
Pt (0.0000, 0.1336, 0.4554)
Pt (0.0000, 0.4554, 0.1336)

This entry pairs a crystal structure of HfCoPt with its simulated powder diffractogram. Radiation: Cu Ka. Structure: a DFT-relaxed cell (PBE, Alexandria).
Intensities are scaled so that the largest is 100.

Most intense lines, 5 to 70 degrees two-theta, sorted by position:
| 2theta | intensity |
| --- | --- |
| 20.38 | 11 |
| 28.82 | 22 |
| 38.41 | 62 |
| 41.32 | 100 |
| 41.43 | 3 |
| 43.86 | 6 |
| 55.45 | 21 |
| 57.77 | 4 |
| 63.69 | 5 |
| 64.09 | 7 |

Cell and atoms:
Cell lengths 4.9487, 4.9487, 4.9487 Å; angles 140.87, 140.87, 56.53 degrees
Positions (direct):
Hf (0.0000, 0.0000, 0.0000)
Co (0.6553, 0.6553, 0.0000)
Pt (0.3296, 0.3296, 0.0000)